Computed X-ray powder pattern
Compound: PaNiRuPt
Radiation: λ = 1.5418 Å (Cu Kα)
Structure: a DFT-relaxed cell (GGA-PBE, Alexandria)
Intensities are scaled so that the largest is 1000.

Atomic structure:
```
PaNiRuPt
1.0
3.9092 0.0000 0.0000
0.0000 3.9628 0.0000
0.0000 0.0000 4.2322
Pa Ni Ru Pt
1 1 1 1
direct
0.0000 0.0000 0.0000
0.5000 0.0000 0.5000
0.5000 0.5000 0.0000
0.0000 0.5000 0.5000
```

The 10 most intense peaks (2θ = 10–90°), by intensity:
two_theta, intensity
38.7, 1000
42.7, 190
22.7, 169
30.9, 162
45.8, 156
46.5, 149
75.6, 142
79.9, 123
80.9, 119
64.4, 113